Structure and theoretical powder diffraction line list of TbPO4 (a GGA-PBE-relaxed structure; Cu Kα (λ = 1.5418 Å)).
No peak broadening, texture or thermal motion is included.

Structure:
Lattice parameters (Å, degrees): 6.337 6.851 8.012 90.00 126.03 90.00
Fractional positions:
Tb  0.189  0.153  0.284
Tb  0.189  0.347  0.784
Tb  0.811  0.653  0.216
Tb  0.811  0.847  0.716
P  0.311  0.661  0.198
P  0.311  0.839  0.698
P  0.689  0.161  0.302
P  0.689  0.339  0.802
O  0.118  0.663  0.616
O  0.118  0.837  0.116
O  0.183  0.501  0.249
O  0.183  0.999  0.749
O  0.344  0.601  0.028
O  0.344  0.899  0.528
O  0.406  0.210  0.120
O  0.406  0.290  0.620
O  0.594  0.710  0.380
O  0.594  0.790  0.880
O  0.656  0.101  0.472
O  0.656  0.399  0.972
O  0.817  0.001  0.251
O  0.817  0.499  0.751
O  0.882  0.163  0.884
O  0.882  0.337  0.384

Top 8 peaks for 10 to 90 degrees two-theta, most intense first:
| 2θ (°) | Rel. int. |
| --- | --- |
| 29.50 | 100 |
| 31.89 | 83 |
| 27.53 | 58 |
| 21.65 | 52 |
| 42.94 | 44 |
| 19.40 | 33 |
| 47.35 | 31 |
| 53.91 | 30 |

Structure and theoretical powder diffraction line list of PmTmCu2 (a GGA-PBE-relaxed structure; Cu Kα (λ = 1.5418 Å)).
No peak broadening, texture or thermal motion is included.

Structure:
Lattice parameters (Å, degrees): 5.001 5.001 5.001 60.00 60.00 60.00
Fractional positions:
Pm  0.000  0.000  0.000
Tm  0.500  0.500  0.500
Cu  0.250  0.250  0.250
Cu  0.750  0.750  0.750

Top 8 peaks for 10 to 90 degrees two-theta, most intense first:
| 2θ (°) | Rel. int. |
| --- | --- |
| 35.91 | 100 |
| 64.55 | 35 |
| 25.18 | 19 |
| 51.69 | 17 |
| 87.15 | 15 |
| 76.13 | 11 |
| 58.34 | 8 |
| 44.37 | 6 |

Structure and theoretical powder diffraction line list of Er2MgSe4 (a GGA-PBE-relaxed structure; Cu Kα (λ = 1.5418 Å)).
No peak broadening, texture or thermal motion is included.

Structure:
Lattice parameters (Å, degrees): 8.166 7.716 11.935 90.00 90.00 90.00
Fractional positions:
Er  0.045  0.250  0.188
Er  0.063  0.750  0.481
Er  0.437  0.250  0.981
Er  0.455  0.750  0.688
Er  0.545  0.250  0.312
Er  0.563  0.750  0.019
Er  0.937  0.250  0.519
Er  0.955  0.750  0.812
Mg  0.183  0.750  0.093
Mg  0.317  0.250  0.593
Mg  0.683  0.750  0.407
Mg  0.817  0.250  0.907
Se  0.110  0.250  0.957
Se  0.125  0.003  0.657
Se  0.125  0.497  0.657
Se  0.223  0.250  0.385
Se  0.277  0.750  0.885
Se  0.375  0.503  0.157
Se  0.375  0.997  0.157
Se  0.390  0.750  0.457
Se  0.610  0.250  0.543
Se  0.625  0.003  0.843
Se  0.625  0.497  0.843
Se  0.723  0.250  0.115
Se  0.777  0.750  0.615
Se  0.875  0.503  0.343
Se  0.875  0.997  0.343
Se  0.890  0.750  0.043

Top 8 peaks for 10 to 90 degrees two-theta, most intense first:
| 2θ (°) | Rel. int. |
| --- | --- |
| 34.19 | 100 |
| 35.77 | 85 |
| 13.67 | 79 |
| 23.05 | 71 |
| 32.81 | 51 |
| 27.51 | 43 |
| 21.76 | 42 |
| 47.11 | 38 |

Structure and theoretical powder diffraction line list of LiGd2Ir (a GGA-PBE-relaxed structure; Cu Kα (λ = 1.5418 Å)).
No peak broadening, texture or thermal motion is included.

Structure:
Lattice parameters (Å, degrees): 4.956 4.956 4.963 119.92 119.92 59.89
Fractional positions:
Li  0.000  0.000  0.000
Gd  0.250  0.250  0.750
Gd  0.750  0.750  0.250
Ir  0.500  0.500  0.500

Top 8 peaks for 10 to 90 degrees two-theta, most intense first:
| 2θ (°) | Rel. int. |
| --- | --- |
| 36.21 | 100 |
| 21.95 | 38 |
| 65.19 | 25 |
| 36.31 | 20 |
| 52.21 | 14 |
| 65.03 | 11 |
| 42.81 | 10 |
| 42.72 | 10 |

Structure and theoretical powder diffraction line list of Te6Mo3WS2 (a GGA-PBE-relaxed structure; Cu Kα (λ = 1.5418 Å)).
No peak broadening, texture or thermal motion is included.

Structure:
Lattice parameters (Å, degrees): 3.458 3.458 39.028 90.00 90.00 120.00
Fractional positions:
Te  0.000  0.000  0.000
Te  0.000  0.000  0.095
Te  0.000  0.000  0.376
Te  0.000  0.000  0.471
Te  0.333  0.667  0.188
Te  0.333  0.667  0.283
Mo  0.000  0.000  0.236
Mo  0.000  0.000  0.860
Mo  0.333  0.667  0.047
W  0.333  0.667  0.424
S  0.333  0.667  0.822
S  0.333  0.667  0.898

Top 8 peaks for 10 to 90 degrees two-theta, most intense first:
| 2θ (°) | Rel. int. |
| --- | --- |
| 35.17 | 100 |
| 11.34 | 80 |
| 42.65 | 55 |
| 52.98 | 41 |
| 29.84 | 40 |
| 36.46 | 20 |
| 75.04 | 18 |
| 44.40 | 16 |

Structure and theoretical powder diffraction line list of ReO2 (a GGA-PBE-relaxed structure; Cu Kα (λ = 1.5418 Å)).
No peak broadening, texture or thermal motion is included.

Structure:
Lattice parameters (Å, degrees): 4.925 4.925 2.743 90.00 90.00 90.00
Fractional positions:
Re  0.000  0.000  0.000
Re  0.500  0.500  0.500
O  0.218  0.218  0.500
O  0.282  0.718  0.000
O  0.718  0.282  0.000
O  0.782  0.782  0.500

Top 8 peaks for 10 to 90 degrees two-theta, most intense first:
| 2θ (°) | Rel. int. |
| --- | --- |
| 25.58 | 100 |
| 37.53 | 68 |
| 53.35 | 57 |
| 36.49 | 27 |
| 59.34 | 19 |
| 52.56 | 18 |
| 66.36 | 16 |
| 78.18 | 16 |

Structure and theoretical powder diffraction line list of Cu2GeSe3 (a GGA-PBE-relaxed structure; Cu Kα (λ = 1.5418 Å)).
No peak broadening, texture or thermal motion is included.

Structure:
Lattice parameters (Å, degrees): 13.167 6.871 12.562 79.44 30.86 69.70
Fractional positions:
Cu  0.000  0.000  0.000
Cu  0.091  0.413  0.075
Cu  0.175  0.829  0.159
Cu  0.250  0.250  0.250
Cu  0.413  0.091  0.421
Cu  0.494  0.494  0.506
Cu  0.744  0.744  0.756
Cu  0.829  0.175  0.837
Ge  0.343  0.657  0.320
Ge  0.570  0.930  0.593
Ge  0.657  0.343  0.680
Ge  0.930  0.570  0.907
Se  0.041  0.200  0.792
Se  0.123  0.629  0.877
Se  0.200  0.041  0.966
Se  0.284  0.458  0.050
Se  0.373  0.880  0.127
Se  0.458  0.284  0.209
Se  0.540  0.713  0.298
Se  0.629  0.123  0.370
Se  0.713  0.540  0.449
Se  0.801  0.952  0.537
Se  0.880  0.373  0.621
Se  0.952  0.801  0.710

Top 8 peaks for 10 to 90 degrees two-theta, most intense first:
| 2θ (°) | Rel. int. |
| --- | --- |
| 27.51 | 100 |
| 45.73 | 48 |
| 54.13 | 29 |
| 45.65 | 24 |
| 54.27 | 14 |
| 73.55 | 14 |
| 84.56 | 11 |
| 84.43 | 7 |

Structure and theoretical powder diffraction line list of Sr3UO6 (a GGA-PBE-relaxed structure; Cu Kα (λ = 1.5418 Å)).
No peak broadening, texture or thermal motion is included.

Structure:
Lattice parameters (Å, degrees): 6.053 6.284 10.581 90.00 124.56 90.00
Fractional positions:
Sr  0.000  0.000  0.000
Sr  0.000  0.500  0.500
Sr  0.228  0.049  0.743
Sr  0.228  0.451  0.243
Sr  0.772  0.549  0.757
Sr  0.772  0.951  0.257
U  0.500  0.000  0.500
U  0.500  0.500  0.000
O  0.168  0.176  0.450
O  0.168  0.324  0.950
O  0.250  0.727  0.423
O  0.250  0.773  0.923
O  0.394  0.062  0.276
O  0.394  0.438  0.776
O  0.606  0.562  0.224
O  0.606  0.938  0.724
O  0.750  0.227  0.077
O  0.750  0.273  0.577
O  0.832  0.676  0.050
O  0.832  0.824  0.550

Top 8 peaks for 10 to 90 degrees two-theta, most intense first:
| 2θ (°) | Rel. int. |
| --- | --- |
| 28.91 | 100 |
| 29.04 | 99 |
| 41.43 | 69 |
| 28.41 | 46 |
| 29.51 | 44 |
| 20.38 | 43 |
| 17.40 | 41 |
| 51.89 | 37 |

Structure and theoretical powder diffraction line list of Ba3Mo3N5 (a GGA-PBE-relaxed structure; Cu Kα (λ = 1.5418 Å)).
No peak broadening, texture or thermal motion is included.

Structure:
Lattice parameters (Å, degrees): 6.221 7.569 9.276 106.97 101.83 94.62
Fractional positions:
Ba  0.146  0.157  0.213
Ba  0.151  0.366  0.883
Ba  0.317  0.926  0.613
Ba  0.683  0.074  0.387
Ba  0.849  0.634  0.117
Ba  0.854  0.843  0.787
Mo  0.195  0.458  0.571
Mo  0.390  0.599  0.298
Mo  0.417  0.817  0.972
Mo  0.583  0.183  0.028
Mo  0.610  0.401  0.702
Mo  0.805  0.542  0.429
N  0.120  0.557  0.382
N  0.276  0.036  0.934
N  0.346  0.710  0.130
N  0.362  0.242  0.526
N  0.418  0.618  0.777
N  0.582  0.382  0.223
N  0.638  0.758  0.474
N  0.654  0.290  0.870
N  0.724  0.964  0.066
N  0.880  0.443  0.618

Top 8 peaks for 10 to 90 degrees two-theta, most intense first:
| 2θ (°) | Rel. int. |
| --- | --- |
| 31.13 | 100 |
| 29.91 | 67 |
| 30.17 | 60 |
| 27.05 | 42 |
| 30.44 | 26 |
| 34.00 | 20 |
| 35.74 | 17 |
| 54.95 | 16 |

Structure and theoretical powder diffraction line list of BiSbPt2 (a GGA-PBE-relaxed structure; Cu Kα (λ = 1.5418 Å)).
No peak broadening, texture or thermal motion is included.

Structure:
Lattice parameters (Å, degrees): 4.316 4.316 5.601 90.00 90.00 120.00
Fractional positions:
Bi  0.000  0.000  0.000
Sb  0.333  0.667  0.500
Pt  0.667  0.333  0.255
Pt  0.667  0.333  0.745

Top 8 peaks for 10 to 90 degrees two-theta, most intense first:
| 2θ (°) | Rel. int. |
| --- | --- |
| 40.24 | 100 |
| 41.86 | 75 |
| 28.71 | 67 |
| 23.81 | 34 |
| 75.35 | 33 |
| 59.46 | 32 |
| 82.04 | 22 |
| 51.55 | 14 |

Which formula does entry 5 have?
Te6Mo3WS2